Computed powder XRD pattern of CaLa2CoO6 for Cu Kα (λ = 1.5418 Å), from a GGA+U-relaxed structure.

Structural model:
```
CaLa2CoO6
1.0
2.9061 1.6779 4.4877
-2.9061 1.6779 4.4877
0.0000 -3.3557 4.4877
Ca La Co O
1 2 1 6
Direct
0.0000 0.0000 0.0000
0.2599 0.2599 0.2599
0.7401 0.7401 0.7401
0.5000 0.5000 0.5000
0.1839 0.3610 0.7106
0.2894 0.8161 0.6390
0.3610 0.7106 0.1839
0.6390 0.2894 0.8161
0.7106 0.1839 0.3610
0.8161 0.6390 0.2894
```

Peak list (10 most intense, 2θ from 5° to 70°, by angle)
22.05°, d = 4.031 Å, I 38
30.77°, d = 2.906 Å, I 100
31.99°, d = 2.798 Å, I 94
38.18°, d = 2.357 Å, I 24
44.97°, d = 2.016 Å, I 53
54.71°, d = 1.678 Å, I 27
55.48°, d = 1.656 Å, I 42
57.77°, d = 1.596 Å, I 15
64.08°, d = 1.453 Å, I 14
66.88°, d = 1.399 Å, I 13